Starting from a crystal structure in OQMD, relaxed with GGA-PBE, the powder X-ray diffraction pattern of CsCoPS4 was simulated for λ = 1.5418 Å (Cu Kα).
No peak broadening, texture or thermal motion is included.

Structural model:
Cell lengths 8.4895, 8.4895, 8.4895 Å; angles 119.79, 119.79, 90.36 degrees
Positions (direct):
Cs 0.2500 0.2500 0.0000
Cs 0.7500 0.7500 0.0000
Co 0.0000 0.5000 0.5000
Co 0.5000 0.0000 0.5000
P 0.2500 0.7500 0.5000
P 0.7500 0.2500 0.5000
S 0.0071 0.5071 0.2466
S 0.2394 0.9929 0.5000
S 0.2606 0.7605 0.7534
S 0.4929 0.7395 0.5000
S 0.5071 0.2606 0.5000
S 0.7395 0.2394 0.2466
S 0.7605 0.0071 0.5000
S 0.9929 0.4929 0.7534

Top 10 peaks for 2θ = 5–70°, by intensity:
2θ (°), Rel. int.
20.89, 100.0
36.59, 28.0
36.71, 24.7
29.67, 21.7
57.32, 19.7
52.77, 19.6
14.79, 19.4
47.77, 16.7
42.60, 15.6
33.29, 13.0